Diffraction record for YCu3W4O12. The powder XRD pattern is theoretical, not measured: it uses a GGA+U-relaxed structure and copper Kα.
Lines closer than 0.1° are merged.

Structure:
a b c (Å): 6.659 6.723 6.765
angles (deg): 109.57 109.24 108.91
Fractional positions:
1 Y 0.000 0.000 0.000
2 Cu 0.000 0.500 0.500
3 Cu 0.500 0.000 0.500
4 Cu 0.500 0.500 0.000
5 W 0.000 0.000 0.500
6 W 0.000 0.500 0.000
7 W 0.500 0.000 0.000
8 W 0.500 0.500 0.500
9 O 0.121 0.831 0.287
10 O 0.164 0.294 0.455
11 O 0.192 0.725 0.895
12 O 0.292 0.463 0.167
13 O 0.295 0.119 0.825
14 O 0.466 0.172 0.290
15 O 0.534 0.828 0.710
16 O 0.705 0.881 0.175
17 O 0.708 0.537 0.833
18 O 0.808 0.275 0.105
19 O 0.836 0.706 0.545
20 O 0.879 0.169 0.713

Largest 10 diffraction maxima, by angle, 2θ = 10–90°:
2theta, I_rel, hkl
22.87, 81.3, -1 1 1
32.25, 52.4, 0 0 2
32.39, 51.2, 0 2 0
32.50, 51.5, 0 2 -2
32.69, 100.0, 2 0 -2
32.91, 48.8, 2 -2 0
46.73, 71.7, -2 2 2
57.74, 35.5, 2 2 0
58.02, 23.2, 2 2 -4
58.31, 23.0, 2 -4 2


Diffraction record for Y2Cu3W6O24. The powder XRD pattern is theoretical, not measured: it uses a GGA+U-relaxed structure and copper Kα.
Lines closer than 0.1° are merged.

Structure:
a b c (Å): 6.060 6.202 13.676
angles (deg): 99.27 91.50 109.04
Fractional positions:
1 Y 0.167 0.008 0.330
2 Y 0.833 0.992 0.670
3 Cu 0.000 0.500 0.500
4 Cu 0.328 0.457 0.144
5 Cu 0.672 0.543 0.856
6 W 0.079 0.331 0.923
7 W 0.241 0.675 0.753
8 W 0.425 0.327 0.586
9 W 0.575 0.673 0.414
10 W 0.759 0.325 0.247
11 W 0.921 0.669 0.077
12 O 0.031 0.471 0.176
13 O 0.049 0.935 0.169
14 O 0.070 0.749 0.652
15 O 0.140 0.316 0.649
16 O 0.192 0.666 0.016
17 O 0.242 0.251 0.017
18 O 0.280 0.069 0.494
19 O 0.312 0.522 0.489
20 O 0.349 0.481 0.844
21 O 0.383 0.947 0.824
22 O 0.410 0.779 0.332
23 O 0.481 0.339 0.319
24 O 0.519 0.661 0.681
25 O 0.590 0.221 0.668
26 O 0.617 0.053 0.176
27 O 0.651 0.519 0.156
28 O 0.688 0.478 0.511
29 O 0.720 0.931 0.506
30 O 0.758 0.749 0.983
31 O 0.808 0.334 0.984
32 O 0.860 0.684 0.351
33 O 0.930 0.251 0.348
34 O 0.951 0.065 0.831
35 O 0.969 0.529 0.824

Largest 10 diffraction maxima, by angle, 2θ = 10–90°:
2theta, I_rel, hkl
15.36, 63.2, 0 1 0
17.38, 82.6, 1 0 1
26.68, 100.0, 1 1 -2
27.29, 91.7, 0 1 3
29.45, 38.8, 1 -2 1
30.70, 64.7, -2 1 1
30.87, 64.5, 1 -1 4
35.18, 30.5, 2 0 2
35.68, 36.9, 1 0 -5
51.42, 38.6, 1 0 7


Diffraction record for YCuW2O8. The powder XRD pattern is theoretical, not measured: it uses a GGA+U-relaxed structure and copper Kα.
Lines closer than 0.1° are merged.

Structure:
a b c (Å): 5.074 6.075 11.035
angles (deg): 90.00 114.22 90.00
Fractional positions:
1 Y 0.000 0.165 0.250
2 Y 0.000 0.835 0.750
3 Cu 0.500 0.230 0.750
4 Cu 0.500 0.770 0.250
5 W 0.237 0.333 0.987
6 W 0.237 0.667 0.487
7 W 0.763 0.333 0.513
8 W 0.763 0.667 0.013
9 O 0.160 0.413 0.610
10 O 0.160 0.587 0.110
11 O 0.214 0.140 0.109
12 O 0.214 0.860 0.609
13 O 0.270 0.144 0.862
14 O 0.270 0.856 0.362
15 O 0.341 0.386 0.404
16 O 0.341 0.614 0.904
17 O 0.659 0.386 0.096
18 O 0.659 0.614 0.596
19 O 0.730 0.144 0.638
20 O 0.730 0.856 0.138
21 O 0.786 0.140 0.391
22 O 0.786 0.860 0.891
23 O 0.840 0.413 0.890
24 O 0.840 0.587 0.390

Largest 10 diffraction maxima, by angle, 2θ = 10–90°:
2theta, I_rel, hkl
14.58, 21.2, 0 1 0
17.63, 33.9, 0 0 2
22.92, 75.8, 0 1 2
28.41, 100.0, 1 1 1
29.60, 84.6, 1 1 -3
34.43, 36.1, 1 2 -1
35.44, 26.7, 2 0 -2
48.45, 25.4, 0 3 2
49.67, 35.8, 2 0 2
60.76, 21.0, 2 3 0